Structure and computed XRD peak list of Sr7CaMnFe7O24 (a cell relaxed with PBE+U; CuKα).

The 10 most intense peaks (10° ≤ 2θ ≤ 80°), most intense first:
d [Å], I/Imax
2.761, 1000
1.952, 398
1.594, 374
1.380, 226
1.235, 159
2.254, 125
5.522, 10
7.809, 9
3.492, 8
3.188, 7

Cell and atoms:
```
data_Sr7CaMnFe7O24
_symmetry_space_group_name_H-M 'P 1'
_symmetry_Int_Tables_number 1
_cell_length_a 7.809
_cell_length_b 7.809
_cell_length_c 7.809
_cell_angle_alpha 90.00
_cell_angle_beta 90.00
_cell_angle_gamma 90.00
loop_
_symmetry_equiv_pos_as_xyz
'x,y,z'
loop_
_atom_site_label
_atom_site_fract_x
_atom_site_fract_y
_atom_site_fract_z
Sr1 0.000 0.000 0.000
Sr2 0.000 0.000 0.501
Sr3 0.000 0.501 0.000
Sr4 0.000 0.501 0.501
Sr5 0.501 0.000 0.000
Sr6 0.501 0.000 0.501
Sr7 0.501 0.501 0.000
Ca1 0.502 0.502 0.502
Mn1 0.750 0.750 0.750
Fe1 0.251 0.251 0.251
Fe2 0.251 0.251 0.750
Fe3 0.251 0.750 0.251
Fe4 0.251 0.750 0.750
Fe5 0.750 0.251 0.251
Fe6 0.750 0.251 0.750
Fe7 0.750 0.750 0.251
O1 0.000 0.251 0.251
O2 0.001 0.251 0.750
O3 0.001 0.750 0.251
O4 0.251 0.000 0.251
O5 0.251 0.001 0.750
O6 0.251 0.251 0.000
O7 0.251 0.750 0.001
O8 0.253 0.253 0.500
O9 0.253 0.499 0.748
O10 0.253 0.500 0.253
O11 0.253 0.748 0.499
O12 0.499 0.253 0.748
O13 0.499 0.748 0.253
O14 0.500 0.253 0.253
O15 0.503 0.747 0.747
O16 0.747 0.503 0.747
O17 0.747 0.747 0.503
O18 0.748 0.253 0.499
O19 0.748 0.499 0.253
O20 0.749 0.749 0.998
O21 0.749 0.998 0.749
O22 0.750 0.001 0.251
O23 0.750 0.251 0.001
O24 0.998 0.749 0.749
```